[1]
Structure and calculated powder diffraction line list of ZrGa2Pd7 (a cell relaxed with GGA-PBE; copper Kα).
Neutral-atom scattering factors, no anomalous dispersion.

a b c (Å): 4.0783 4.0783 20.0182
angles (deg): 90.00 90.00 90.00
Space group I4/mmm (No. 139)
One atom of each set of equivalent atoms:
Zr: 0.0000 0.0000 0.0000 [2 per cell]
Ga: 0.0000 0.0000 0.3251 [4 per cell]
Pd: 0.0000 0.0000 0.5000 [2 per cell]
Pd: 0.0000 0.5000 0.0988 [8 per cell]
Pd: 0.0000 0.5000 0.2500 [4 per cell]

The 10 most intense peaks (2θ = 10–90°), by intensity:
2θ 41.4, intensity 100, (1 1 6)
2θ 44.4, intensity 48, (2 0 0)
2θ 79.7, intensity 28, (3 1 6)
2θ 35.9, intensity 21, (0 0 8)
2θ 64.6, intensity 15, (2 2 0)
2θ 73.3, intensity 12, (2 0 12)
2θ 31.0, intensity 12, (1 1 0)
2θ 32.3, intensity 9, (1 1 2)
2θ 74.0, intensity 7, (1 1 14)
2θ 25.6, intensity 7, (1 0 3)

[2]
Structure and calculated powder diffraction line list of AcTmGaCu (a cell relaxed with GGA-PBE; copper Kα).
Neutral-atom scattering factors, no anomalous dispersion.

a b c (Å): 7.4048 7.4048 7.4048
angles (deg): 90.00 90.00 90.00
Space group F-43m (No. 216)
One atom of each set of equivalent atoms:
Ac: 0.0000 0.0000 0.0000 [4 per cell]
Tm: 0.0000 0.0000 0.5000 [4 per cell]
Ga: 0.2500 0.2500 0.2500 [4 per cell]
Cu: 0.2500 0.2500 0.7500 [4 per cell]

The 10 most intense peaks (2θ = 10–90°), by intensity:
2θ 34.3, intensity 100, (2 2 0)
2θ 61.3, intensity 37, (4 2 2)
2θ 24.0, intensity 26, (2 0 0)
2θ 49.2, intensity 18, (4 0 0)
2θ 82.4, intensity 16, (6 2 0)
2θ 72.2, intensity 11, (4 4 0)
2θ 55.5, intensity 11, (4 2 0)
2θ 42.3, intensity 8, (2 2 2)
2θ 77.3, intensity 6, (6 0 0)
2θ 87.4, intensity 4, (6 2 2)

[3]
Structure and calculated powder diffraction line list of AcTh3Te6 (a cell relaxed with GGA-PBE; copper Kα).
Neutral-atom scattering factors, no anomalous dispersion.

a b c (Å): 12.6182 4.4246 13.3054
angles (deg): 90.00 107.43 90.00
Space group P2_1/m (No. 11)
One atom of each set of equivalent atoms:
Ac: 0.0453 0.2500 0.1968 [2 per cell]
Th: 0.1318 0.2500 0.5697 [2 per cell]
Th: 0.3198 0.7500 0.9912 [2 per cell]
Th: 0.4242 0.2500 0.3505 [2 per cell]
Te: 0.1054 0.7500 0.3970 [2 per cell]
Te: 0.1262 0.2500 0.9680 [2 per cell]
Te: 0.1993 0.7500 0.7466 [2 per cell]
Te: 0.2630 0.7500 0.2141 [2 per cell]
Te: 0.3914 0.2500 0.5804 [2 per cell]
Te: 0.4863 0.2500 0.1254 [2 per cell]

The 10 most intense peaks (2θ = 10–90°), by intensity:
2θ 27.2, intensity 100, (2 1 1)
2θ 30.1, intensity 97, (3 1 0)
2θ 37.1, intensity 85, (4 1 -3)
2θ 40.8, intensity 78, (0 2 0)
2θ 30.9, intensity 60, (4 0 -3)
2θ 34.3, intensity 52, (2 1 -4)
2θ 23.2, intensity 50, (1 1 1)
2θ 27.6, intensity 44, (2 0 -4)
2θ 20.1, intensity 42, (1 0 -3)
2θ 40.1, intensity 42, (5 0 1)

[4]
Structure and calculated powder diffraction line list of Cu3Sn2Au8 (a cell relaxed with GGA-PBE; copper Kα).
Neutral-atom scattering factors, no anomalous dispersion.

a b c (Å): 8.2350 3.8986 8.8617
angles (deg): 90.00 117.19 90.00
Space group P2/m (No. 10)
One atom of each set of equivalent atoms:
Cu: 0.0000 0.0000 0.0000 [1 per cell]
Cu: 0.2265 0.5000 0.0007 [2 per cell]
Sn: 0.2577 0.0000 0.5145 [2 per cell]
Au: 0.1231 0.5000 0.2502 [2 per cell]
Au: 0.1375 0.0000 0.7657 [2 per cell]
Au: 0.3713 0.0000 0.2366 [2 per cell]
Au: 0.4072 0.5000 0.8129 [2 per cell]

The 10 most intense peaks (2θ = 10–90°), by intensity:
2θ 39.1, intensity 100, (2 1 1)
2θ 39.3, intensity 99, (2 1 -3)
2θ 31.6, intensity 65, (2 1 -1)
2θ 22.6, intensity 56, (0 0 2)
2θ 44.0, intensity 43, (4 0 -2)
2θ 46.6, intensity 35, (0 2 0)
2θ 66.0, intensity 25, (4 2 -2)
2θ 46.1, intensity 22, (0 0 4)
2θ 77.9, intensity 15, (6 1 -5)
2θ 52.4, intensity 15, (0 2 2)

[5]
Structure and calculated powder diffraction line list of Tb4PmPb5 (a cell relaxed with GGA-PBE; copper Kα).
Neutral-atom scattering factors, no anomalous dispersion.

a b c (Å): 10.0256 10.0256 6.3375
angles (deg): 90.00 90.00 90.00
Space group I4/m (No. 87)
One atom of each set of equivalent atoms:
Tb: 0.1018 0.2993 0.0000 [8 per cell]
Pm: 0.0000 0.0000 0.5000 [2 per cell]
Pb: 0.0000 0.0000 0.0000 [2 per cell]
Pb: 0.0999 0.3033 0.5000 [8 per cell]

The 10 most intense peaks (2θ = 10–90°), by intensity:
2θ 28.2, intensity 100, (1 3 0)
2θ 40.2, intensity 78, (4 2 0)
2θ 65.9, intensity 37, (1 3 4)
2θ 49.8, intensity 28, (4 2 2)
2θ 73.1, intensity 28, (4 2 4)
2θ 58.2, intensity 13, (0 0 4)
2θ 86.9, intensity 9, (2 6 4)
2θ 24.3, intensity 3, (2 1 1)
2θ 47.6, intensity 2, (2 1 3)
2θ 64.0, intensity 1, (5 0 3)

[6]
Structure and calculated powder diffraction line list of PmZn2B2O7 (a cell relaxed with GGA-PBE; copper Kα).
Neutral-atom scattering factors, no anomalous dispersion.

a b c (Å): 4.9958 4.9958 25.3619
angles (deg): 90.00 90.00 120.00
Space group R32 (No. 155, hexagonal axes)
One atom of each set of equivalent atoms:
Pm: 0.0000 0.0000 0.0000 [3 per cell]
Zn: 0.0000 0.0000 0.4263 [6 per cell]
B: 0.0000 0.0000 0.2727 [6 per cell]
O: 0.0000 0.0000 0.5000 [3 per cell]
O: 0.0085 0.2812 0.2745 [18 per cell]

The 10 most intense peaks (2θ = 10–90°), by intensity:
2θ 10.5, intensity 100, (0 0 3)
2θ 21.7, intensity 97, (0 1 2)
2θ 32.2, intensity 78, (1 0 7)
2θ 36.0, intensity 52, (1 1 0)
2θ 27.1, intensity 52, (0 1 5)
2θ 24.9, intensity 40, (1 0 4)
2θ 48.7, intensity 30, (1 1 9)
2θ 42.4, intensity 27, (2 0 2)
2θ 57.1, intensity 24, (1 1 12)
2θ 62.3, intensity 23, (2 1 7)

[7]
Structure and calculated powder diffraction line list of TbTmS2O (a cell relaxed with GGA-PBE; copper Kα).
Neutral-atom scattering factors, no anomalous dispersion.

a b c (Å): 3.8468 3.8468 13.7758
angles (deg): 90.00 90.00 90.00
Space group P4/nmm (No. 129, origin choice 2)
One atom of each set of equivalent atoms:
Tb: 0.2500 0.2500 0.0844 [2 per cell]
Tm: 0.2500 0.2500 0.6234 [2 per cell]
S: 0.2500 0.2500 0.4105 [2 per cell]
S: 0.2500 0.2500 0.8026 [2 per cell]
O: 0.2500 0.7500 0.0000 [2 per cell]

The 10 most intense peaks (2θ = 10–90°), by intensity:
2θ 26.5, intensity 100, (1 0 2)
2θ 32.9, intensity 63, (1 1 0)
2θ 42.3, intensity 35, (1 1 4)
2θ 55.0, intensity 28, (2 1 2)
2θ 47.3, intensity 27, (2 0 0)
2θ 25.9, intensity 25, (0 0 4)
2θ 40.3, intensity 21, (1 0 5)
2θ 46.1, intensity 18, (0 0 7)
2θ 35.0, intensity 17, (1 0 4)
2θ 12.9, intensity 16, (0 0 2)

[8]
Structure and calculated powder diffraction line list of Ho2Er6Sc5 (a cell relaxed with GGA-PBE; copper Kα).
Neutral-atom scattering factors, no anomalous dispersion.

a b c (Å): 11.2881 19.1932 3.4522
angles (deg): 90.00 90.00 90.00
Space group Pbam (No. 55)
One atom of each set of equivalent atoms:
Ho: 0.1528 0.2143 0.0000 [4 per cell]
Er: 0.0573 0.9198 0.0000 [4 per cell]
Er: 0.0888 0.6338 0.0000 [4 per cell]
Er: 0.1720 0.3751 0.5000 [4 per cell]
Sc: 0.0000 0.5000 0.5000 [2 per cell]
Sc: 0.1052 0.7768 0.5000 [4 per cell]
Sc: 0.1976 0.0517 0.5000 [4 per cell]

The 10 most intense peaks (2θ = 10–90°), by intensity:
2θ 33.5, intensity 100, (2 3 1)
2θ 33.6, intensity 52, (1 7 0)
2θ 32.1, intensity 45, (4 1 0)
2θ 28.6, intensity 34, (1 2 1)
2θ 33.3, intensity 30, (3 5 0)
2θ 35.8, intensity 28, (2 4 1)
2θ 32.9, intensity 26, (1 4 1)
2θ 53.1, intensity 25, (0 0 2)
2θ 18.5, intensity 24, (0 4 0)
2θ 59.1, intensity 20, (6 4 1)

[9]
Structure and calculated powder diffraction line list of BaZr5 (a cell relaxed with GGA-PBE; copper Kα).
Neutral-atom scattering factors, no anomalous dispersion.

a b c (Å): 5.2843 3.2129 19.0764
angles (deg): 90.00 90.00 90.00
Space group Amm2 (No. 38)
One atom of each set of equivalent atoms:
Ba: 0.0000 0.0000 0.0000 [2 per cell]
Zr: 0.0000 0.0000 0.3239 [2 per cell]
Zr: 0.0000 0.0000 0.6810 [2 per cell]
Zr: 0.5000 0.0000 0.2358 [2 per cell]
Zr: 0.5000 0.0000 0.5991 [2 per cell]
Zr: 0.5000 0.0000 0.8805 [2 per cell]

The 10 most intense peaks (2θ = 10–90°), by intensity:
2θ 35.6, intensity 100, (1 1 3)
2θ 32.9, intensity 73, (1 0 6)
2θ 33.9, intensity 50, (2 0 0)
2θ 31.2, intensity 44, (0 1 3)
2θ 46.7, intensity 28, (2 1 3)
2θ 61.8, intensity 19, (3 1 3)
2θ 25.2, intensity 18, (1 0 4)
2θ 67.7, intensity 17, (1 2 6)
2θ 51.7, intensity 15, (0 1 9)
2θ 68.3, intensity 12, (2 2 0)

[10]
Structure and calculated powder diffraction line list of Pm6Ag2N (a cell relaxed with GGA-PBE; copper Kα).
Neutral-atom scattering factors, no anomalous dispersion.

a b c (Å): 6.7664 7.2660 12.0834
angles (deg): 90.00 123.21 90.00
Space group P2_1/c (No. 14)
One atom of each set of equivalent atoms:
Pm: 0.1309 0.0214 0.2403 [4 per cell]
Pm: 0.2301 0.7100 0.0491 [4 per cell]
Pm: 0.3507 0.1901 0.0493 [4 per cell]
Ag: 0.2949 0.0780 0.7496 [4 per cell]
N: 0.0000 0.0000 0.0000 [2 per cell]

The 10 most intense peaks (2θ = 10–90°), by intensity:
2θ 30.3, intensity 100, (0 2 2)
2θ 36.3, intensity 33, (2 2 -2)
2θ 29.1, intensity 29, (2 1 -2)
2θ 32.0, intensity 29, (2 0 -4)
2θ 30.6, intensity 26, (2 1 -3)
2θ 29.4, intensity 22, (1 0 2)
2θ 35.5, intensity 22, (0 0 4)
2θ 29.8, intensity 20, (1 0 -4)
2θ 31.6, intensity 19, (2 0 0)
2θ 39.5, intensity 15, (1 3 -1)

[11]
Structure and calculated powder diffraction line list of Sm2Dy7Tm2 (a cell relaxed with GGA-PBE; copper Kα).
Neutral-atom scattering factors, no anomalous dispersion.

a b c (Å): 5.5246 15.8470 8.0839
angles (deg): 90.00 90.00 90.00
Space group Imm2 (No. 44)
One atom of each set of equivalent atoms:
Sm: 0.0000 0.2015 0.0000 [4 per cell]
Dy: 0.0000 0.0000 0.2049 [2 per cell]
Dy: 0.0000 0.1602 0.4986 [4 per cell]
Dy: 0.0000 0.3637 0.7072 [4 per cell]
Dy: 0.0000 0.3650 0.2920 [4 per cell]
Tm: 0.0000 0.0000 0.7873 [2 per cell]
Tm: 0.0000 0.5000 0.9990 [2 per cell]

The 10 most intense peaks (2θ = 10–90°), by intensity:
2θ 32.3, intensity 100, (1 3 2)
2θ 32.4, intensity 35, (2 0 0)
2θ 29.9, intensity 29, (1 4 1)
2θ 57.7, intensity 19, (3 3 2)
2θ 32.6, intensity 16, (1 5 0)
2θ 33.9, intensity 13, (0 6 0)
2θ 33.7, intensity 13, (0 1 3)
2θ 64.5, intensity 12, (1 4 5)
2θ 63.3, intensity 12, (2 7 3)
2θ 62.0, intensity 12, (1 10 1)

[12]
Structure and calculated powder diffraction line list of UPd2Pt4 (a cell relaxed with GGA-PBE; copper Kα).
Neutral-atom scattering factors, no anomalous dispersion.

a b c (Å): 5.6439 9.6100 4.7322
angles (deg): 90.00 90.00 90.00
Space group Cmmm (No. 65)
One atom of each set of equivalent atoms:
U: 0.0000 0.0000 0.0000 [2 per cell]
Pd: 0.0000 0.2511 0.5000 [4 per cell]
Pt: 0.2384 0.5000 0.5000 [4 per cell]
Pt: 0.2500 0.2500 0.0000 [4 per cell]

The 10 most intense peaks (2θ = 10–90°), by intensity:
2θ 41.7, intensity 100, (2 2 1)
2θ 37.4, intensity 40, (0 4 0)
2θ 38.0, intensity 33, (0 0 2)
2θ 54.4, intensity 23, (0 4 2)
2θ 70.5, intensity 22, (2 6 1)
2θ 71.2, intensity 21, (2 2 3)
2θ 26.3, intensity 15, (1 1 1)
2θ 26.4, intensity 12, (0 2 1)
2θ 18.2, intensity 11, (1 1 0)
2θ 78.6, intensity 8, (4 4 0)